For InAgAu5, DFT lattice parameters and positions (GGA-PBE) gives the simulated powder X-ray diffraction pattern in this record (Cu Ka).
Kinematic intensities with the Lorentz-polarization factor, no thermal factor.

Cell and atoms:
a = 7.3166 Å, b = 7.3166 Å, c = 5.6865 Å
α = 105.05°, β = 105.05°, γ = 96.77°
Positions (direct):
In 0.1502 0.8498 0.7500
In 0.8498 0.1502 0.2500
Ag 0.0000 0.5000 0.0000
Ag 0.5000 0.0000 0.5000
Au 0.1103 0.8897 0.2500
Au 0.2286 0.2740 0.6318
Au 0.2740 0.2286 0.1318
Au 0.3510 0.6150 0.4851
Au 0.3850 0.6490 0.0149
Au 0.6150 0.3510 0.9851
Au 0.6490 0.3850 0.5149
Au 0.7260 0.7714 0.8682
Au 0.7714 0.7260 0.3682
Au 0.8897 0.1103 0.7500

Largest 10 diffraction maxima, by angle, 15° ≤ 2θ ≤ 90°:
| 2θ/deg | I_rel |
| --- | --- |
| 16.2 | 11 |
| 25.7 | 13 |
| 33.6 | 12 |
| 36.7 | 45 |
| 38.6 | 62 |
| 40.4 | 100 |
| 52.9 | 11 |
| 55.7 | 14 |
| 66.1 | 13 |
| 72.2 | 10 |

For In6AgAu10, DFT lattice parameters and positions (GGA-PBE) gives the simulated powder X-ray diffraction pattern in this record (Cu Ka).
Kinematic intensities with the Lorentz-polarization factor, no thermal factor.

Cell and atoms:
a = 7.1016 Å, b = 7.7362 Å, c = 7.7726 Å
α = 119.11°, β = 95.91°, γ = 98.23°
Positions (direct):
In 0.2081 0.3897 0.3502
In 0.2257 0.0185 0.5779
In 0.2559 0.6481 0.0763
In 0.7441 0.3519 0.9237
In 0.7743 0.9815 0.4221
In 0.7919 0.6103 0.6498
Ag 0.0000 0.0000 0.0000
Au 0.0257 0.3521 0.6929
Au 0.2124 0.7411 0.7386
Au 0.3793 0.1793 0.9897
Au 0.4143 0.0799 0.3039
Au 0.4448 0.4213 0.7047
Au 0.5552 0.5787 0.2953
Au 0.5857 0.9201 0.6961
Au 0.6207 0.8207 0.0103
Au 0.7876 0.2589 0.2614
Au 0.9743 0.6479 0.3071

Largest 10 diffraction maxima, by angle, 15° ≤ 2θ ≤ 90°:
| 2θ/deg | I_rel |
| --- | --- |
| 29.4 | 66 |
| 33.0 | 37 |
| 35.2 | 46 |
| 36.1 | 60 |
| 37.0 | 38 |
| 38.6 | 36 |
| 39.3 | 56 |
| 40.2 | 39 |
| 40.7 | 100 |
| 41.2 | 36 |

For In2Ag2Au5, DFT lattice parameters and positions (GGA-PBE) gives the simulated powder X-ray diffraction pattern in this record (Cu Ka).
Kinematic intensities with the Lorentz-polarization factor, no thermal factor.

Cell and atoms:
a = 8.7041 Å, b = 8.7041 Å, c = 8.7041 Å
α = 72.60°, β = 129.40°, γ = 131.64°
Positions (direct):
In 0.0000 0.0000 0.0000
In 0.0000 0.5000 0.5000
In 0.9274 0.7058 0.7216
In 0.9842 0.2058 0.2784
Ag 0.2800 0.4534 0.1104
Ag 0.2800 0.6696 0.3266
Ag 0.3430 0.1696 0.8896
Ag 0.3430 0.9534 0.6734
Au 0.4406 0.8718 0.0688
Au 0.4524 0.2879 0.4596
Au 0.4524 0.4928 0.6645
Au 0.4793 0.0944 0.2839
Au 0.4793 0.6953 0.8848
Au 0.8030 0.3718 0.9312
Au 0.8105 0.1953 0.7161
Au 0.8105 0.5944 0.1152
Au 0.8283 0.7879 0.3355
Au 0.8283 0.9928 0.5404

Largest 10 diffraction maxima, by angle, 15° ≤ 2θ ≤ 90°:
| 2θ/deg | I_rel |
| --- | --- |
| 25.0 | 64 |
| 30.8 | 36 |
| 34.2 | 70 |
| 34.9 | 64 |
| 38.4 | 100 |
| 39.8 | 50 |
| 42.3 | 79 |
| 42.8 | 94 |
| 72.8 | 30 |
| 79.7 | 32 |

For In4AgAu5, DFT lattice parameters and positions (GGA-PBE) gives the simulated powder X-ray diffraction pattern in this record (Cu Ka).
Kinematic intensities with the Lorentz-polarization factor, no thermal factor.

Cell and atoms:
a = 5.6761 Å, b = 6.1418 Å, c = 6.9349 Å
α = 65.72°, β = 76.99°, γ = 80.34°
Positions (direct):
In 0.0000 0.0000 0.0000
In 0.1818 0.9523 0.4220
In 0.4291 0.5588 0.8008
In 0.6118 0.5106 0.2230
Ag 0.8061 0.2565 0.6116
Au 0.1233 0.4799 0.2025
Au 0.3064 0.2549 0.6115
Au 0.4885 0.0309 0.0205
Au 0.6999 0.8787 0.4157
Au 0.9111 0.6326 0.8071

Largest 10 diffraction maxima, by angle, 15° ≤ 2θ ≤ 90°:
| 2θ/deg | I_rel |
| --- | --- |
| 21.7 | 22 |
| 25.8 | 19 |
| 29.6 | 100 |
| 37.2 | 72 |
| 37.9 | 72 |
| 38.2 | 69 |
| 40.0 | 55 |
| 40.6 | 55 |
| 44.2 | 36 |
| 63.3 | 19 |

For In6AgAu12, DFT lattice parameters and positions (GGA-PBE) gives the simulated powder X-ray diffraction pattern in this record (Cu Ka).
Kinematic intensities with the Lorentz-polarization factor, no thermal factor.

Cell and atoms:
a = 7.6815 Å, b = 7.7138 Å, c = 7.7580 Å
α = 106.88°, β = 105.87°, γ = 105.83°
Positions (direct):
In 0.0623 0.3424 0.3334
In 0.1555 0.1699 0.9367
In 0.3317 0.5632 0.8442
In 0.6683 0.4368 0.1558
In 0.8445 0.8301 0.0633
In 0.9377 0.6576 0.6666
Ag 0.5000 0.0000 0.5000
Au 0.0903 0.7204 0.3613
Au 0.2090 0.1489 0.5709
Au 0.2229 0.8636 0.0894
Au 0.3494 0.9294 0.7893
Au 0.3646 0.5888 0.2208
Au 0.4285 0.2904 0.3512
Au 0.5715 0.7096 0.6488
Au 0.6354 0.4112 0.7792
Au 0.6506 0.0706 0.2107
Au 0.7771 0.1364 0.9106
Au 0.7910 0.8511 0.4291
Au 0.9097 0.2796 0.6387

Largest 10 diffraction maxima, by angle, 15° ≤ 2θ ≤ 90°:
| 2θ/deg | I_rel |
| --- | --- |
| 30.2 | 34 |
| 33.6 | 22 |
| 36.6 | 21 |
| 37.8 | 51 |
| 38.2 | 100 |
| 41.5 | 24 |
| 41.9 | 25 |
| 42.1 | 28 |
| 42.2 | 41 |
| 65.7 | 16 |

For In2Ag7Au3, DFT lattice parameters and positions (GGA-PBE) gives the simulated powder X-ray diffraction pattern in this record (Cu Ka).
Kinematic intensities with the Lorentz-polarization factor, no thermal factor.

Cell and atoms:
a = 4.0045 Å, b = 4.1285 Å, c = 14.9259 Å
α = 90.55°, β = 97.42°, γ = 90.08°
Positions (direct):
In 0.1440 0.4972 0.2873
In 0.8560 0.5028 0.7127
Ag 0.0727 0.9997 0.1477
Ag 0.2140 0.9994 0.4269
Ag 0.4281 0.4993 0.8555
Ag 0.5000 0.0000 0.0000
Ag 0.5719 0.5007 0.1445
Ag 0.7860 0.0006 0.5731
Ag 0.9273 0.0003 0.8523
Au 0.0000 0.5000 0.0000
Au 0.2876 0.5008 0.5756
Au 0.7124 0.4992 0.4244

Largest 10 diffraction maxima, by angle, 15° ≤ 2θ ≤ 90°:
| 2θ/deg | I_rel |
| --- | --- |
| 21.5 | 19 |
| 32.5 | 15 |
| 37.6 | 51 |
| 37.8 | 51 |
| 38.0 | 100 |
| 42.8 | 35 |
| 43.9 | 33 |
| 45.3 | 30 |
| 62.6 | 12 |
| 76.8 | 12 |

For InAg5Au6, DFT lattice parameters and positions (GGA-PBE) gives the simulated powder X-ray diffraction pattern in this record (Cu Ka).
Kinematic intensities with the Lorentz-polarization factor, no thermal factor.

Cell and atoms:
a = 7.7695 Å, b = 7.7695 Å, c = 4.2449 Å
α = 105.62°, β = 105.62°, γ = 106.70°
Positions (direct):
In 0.0000 0.0000 0.0000
Ag 0.1713 0.8287 0.5000
Ag 0.3358 0.6642 0.0000
Ag 0.5000 0.5000 0.5000
Ag 0.6642 0.3358 0.0000
Ag 0.8287 0.1713 0.5000
Au 0.0816 0.4161 0.2486
Au 0.2493 0.2493 0.7499
Au 0.4161 0.0816 0.2486
Au 0.5839 0.9184 0.7514
Au 0.7507 0.7507 0.2501
Au 0.9184 0.5839 0.7514

Largest 10 diffraction maxima, by angle, 15° ≤ 2θ ≤ 90°:
| 2θ/deg | I_rel |
| --- | --- |
| 21.5 | 14 |
| 37.2 | 100 |
| 37.4 | 99 |
| 42.6 | 34 |
| 43.6 | 32 |
| 43.7 | 32 |
| 62.6 | 22 |
| 63.4 | 21 |
| 74.3 | 13 |
| 75.9 | 25 |

For In2Ag4Au, DFT lattice parameters and positions (GGA-PBE) gives the simulated powder X-ray diffraction pattern in this record (Cu Ka).
Kinematic intensities with the Lorentz-polarization factor, no thermal factor.

Cell and atoms:
a = 5.4948 Å, b = 5.4948 Å, c = 10.8732 Å
α = 90.00°, β = 90.00°, γ = 119.62°
Positions (direct):
In 0.1622 0.8378 0.9391
In 0.3378 0.6622 0.4391
In 0.6622 0.3378 0.5609
In 0.8378 0.1622 0.0609
Ag 0.2157 0.2843 0.7500
Ag 0.2199 0.7801 0.6774
Ag 0.2801 0.7199 0.1774
Ag 0.2843 0.2157 0.2500
Ag 0.7157 0.7843 0.7500
Ag 0.7199 0.2801 0.8226
Ag 0.7801 0.2199 0.3226
Ag 0.7843 0.7157 0.2500
Au 0.0000 0.0000 0.5000
Au 0.5000 0.5000 0.0000

Largest 10 diffraction maxima, by angle, 15° ≤ 2θ ≤ 90°:
| 2θ/deg | I_rel |
| --- | --- |
| 20.3 | 19 |
| 31.0 | 27 |
| 32.4 | 24 |
| 33.6 | 61 |
| 36.5 | 39 |
| 37.7 | 18 |
| 38.1 | 90 |
| 38.6 | 19 |
| 38.8 | 23 |
| 41.3 | 100 |